[1]
The following is a simulated PXRD pattern of LiCoOF2. It was derived from a structure optimized by DFT (GGA+U), using CuKα.

Atomic structure:
```
LiCoOF2
1.0
4.296 -2.643 0.000
4.296 2.643 0.000
-3.292 0.000 4.603
Li Co O F
2 2 2 4
Direct
0.228 0.772 0.500
0.772 0.228 0.000
0.468 0.956 0.136
0.956 0.468 0.636
0.091 0.817 0.861
0.817 0.091 0.361
0.167 0.352 0.339
0.352 0.167 0.839
0.552 0.695 0.363
0.695 0.552 0.863
```

Most intense lines, 10 to 80 degrees two-theta, low angle first:
2θ = 23.07°, d 3.855, I 100; 2θ = 25.49°, d 3.494, I 46; 2θ = 31.76°, d 2.817, I 22; 2θ = 33.49°, d 2.676, I 34; 2θ = 47.16°, d 1.927, I 22; 2θ = 51.65°, d 1.770, I 22; 2θ = 56.40°, d 1.631, I 16; 2θ = 61.91°, d 1.499, I 17

***

[2]
The following is a simulated PXRD pattern of MgMn2P2H4O10. It was derived from a structure optimized by DFT (GGA+U), using CuKα.

Atomic structure:
```
MgMn2P2H4O10
1.0
5.138 0.000 0.000
-1.331 5.378 0.000
-1.268 -3.091 7.511
Mg Mn P H O
1 2 2 4 10
Direct
0.000 0.000 0.000
0.206 0.004 0.568
0.773 0.509 0.120
0.278 0.644 0.880
0.288 0.388 0.331
0.563 0.037 0.823
0.631 0.826 0.394
0.836 0.036 0.326
0.867 0.233 0.796
0.132 0.702 0.036
0.133 0.349 0.749
0.230 0.855 0.796
0.365 0.697 0.431
0.391 0.319 0.157
0.395 0.255 0.451
0.593 0.700 0.949
0.759 0.161 0.875
0.820 0.877 0.364
0.962 0.264 0.249
```

Most intense lines, 10 to 80 degrees two-theta, low angle first:
2θ = 18.39°, d 4.824, I 71; 2θ = 19.17°, d 4.629, I 58; 2θ = 23.65°, d 3.763, I 59; 2θ = 24.33°, d 3.658, I 72; 2θ = 24.95°, d 3.569, I 100; 2θ = 29.83°, d 2.995, I 84; 2θ = 30.39°, d 2.941, I 57; 2θ = 33.65°, d 2.663, I 68